(1)
Simulated XRD peak list of RbAlF4 for CuKα, from a DFT-relaxed cell (GGA-PBE, the Materials Project).

Peak list (10 most intense, 2θ from 10° to 90°, in order of rising 2θ)
d_spacing, 2θ (°), I_rel
3.510, 25.38, 21
3.324, 26.82, 86
3.238, 27.54, 100
3.192, 27.95, 31
2.811, 31.84, 26
2.656, 33.75, 23
2.453, 36.64, 26
2.387, 37.69, 47
2.304, 39.10, 27
1.670, 54.98, 22

Cell and atoms:
```
RbAlF4
1.0
-5.9385 5.9385 6.3930
5.9385 -5.9385 6.3930
5.9385 5.9385 -6.3930
Rb Al F
10 10 40
Direct
0.0298 0.5298 0.1832
0.1535 0.9702 0.5000
0.2500 0.2500 0.0000
0.3465 0.8465 0.8168
0.4702 0.6535 0.5000
0.5298 0.3465 0.5000
0.6535 0.1535 0.1832
0.7500 0.7500 0.0000
0.8465 0.0298 0.5000
0.9702 0.4702 0.8168
0.0000 0.5000 0.5000
0.0766 0.2075 0.2841
0.2075 0.9234 0.1310
0.2925 0.4234 0.7159
0.4234 0.7075 0.1310
0.5000 0.0000 0.5000
0.5766 0.2925 0.8690
0.7075 0.5766 0.2841
0.7925 0.0766 0.8690
0.9234 0.7925 0.7159
0.0013 0.6557 0.6570
0.0597 0.9304 0.7119
0.0667 0.8577 0.9244
0.0696 0.7815 0.1293
0.1385 0.6385 0.5000
0.1423 0.0667 0.2090
0.1522 0.2815 0.7119
0.1557 0.5013 0.6570
0.2186 0.2814 0.5000
0.2185 0.3478 0.2881
0.2815 0.5696 0.1293
0.2814 0.7814 0.0628
0.3443 0.0013 0.3455
0.3478 0.0597 0.1293
0.3577 0.5667 0.9244
0.3615 0.8615 0.5000
0.4304 0.5597 0.7119
0.4333 0.3577 0.7910
0.4403 0.1522 0.8707
0.4987 0.1557 0.6545
0.5013 0.8443 0.3455
0.5597 0.8478 0.1293
0.5667 0.6423 0.2090
0.5696 0.4403 0.2881
0.6385 0.1385 0.5000
0.6423 0.4333 0.0756
0.6522 0.9403 0.8707
0.6557 0.9987 0.6545
0.7186 0.2186 0.9372
0.7185 0.4304 0.8707
0.7815 0.6522 0.7119
0.7814 0.7186 0.5000
0.8443 0.4987 0.3430
0.8478 0.7185 0.2881
0.8577 0.9333 0.7910
0.8615 0.3615 0.5000
0.9304 0.2185 0.8707
0.9333 0.1423 0.0756
0.9403 0.0696 0.2881
0.9987 0.3443 0.3430
```


(2)
Simulated XRD peak list of SbO2 for CuKα, from a DFT-relaxed cell (GGA-PBE, the Materials Project).

Peak list (10 most intense, 2θ from 10° to 90°, in order of rising 2θ)
d_spacing, 2θ (°), I_rel
4.626, 19.19, 100
2.894, 30.90, 74
2.722, 32.91, 35
2.251, 40.05, 60
2.024, 44.77, 22
1.708, 53.65, 25
1.647, 55.82, 19
1.602, 57.51, 29
1.497, 62.01, 14
1.361, 69.01, 11

Cell and atoms:
```
SbO2
1.0
3.4165 0.0000 0.0000
-1.7082 2.9588 0.0000
0.0000 0.0000 13.8785
Sb O
3 6
Direct
0.0000 0.0000 0.0000
0.3333 0.6667 0.6667
0.6667 0.3333 0.3333
0.0000 0.0000 0.2648
0.0000 0.0000 0.7352
0.3333 0.6667 0.4019
0.3333 0.6667 0.9314
0.6667 0.3333 0.0686
0.6667 0.3333 0.5981
```


(3)
Simulated XRD peak list of TbPO4 for CuKα, from a DFT-relaxed cell (GGA-PBE, the Materials Project).

Peak list (10 most intense, 2θ from 10° to 90°, in order of rising 2θ)
d_spacing, 2θ (°), I_rel
4.478, 19.83, 47
2.983, 29.95, 14
2.944, 30.36, 100
2.828, 31.63, 18
2.438, 36.86, 20
2.141, 42.20, 23
1.888, 48.20, 18
1.847, 49.35, 27
1.654, 55.55, 17
1.488, 62.42, 24

Cell and atoms:
```
TbPO4
1.0
-2.4383 2.4383 5.6569
2.4383 -2.4383 5.6569
2.4383 2.4383 -5.6569
Tb P O
2 2 8
Direct
0.3750 0.1250 0.2500
0.6250 0.8750 0.7500
0.1250 0.3750 0.7500
0.8750 0.6250 0.2500
0.0755 0.6898 0.8672
0.1898 0.8226 0.6143
0.2917 0.4245 0.1143
0.3226 0.2083 0.6328
0.6774 0.7917 0.3672
0.7083 0.5755 0.8857
0.8102 0.1774 0.3857
0.9245 0.3102 0.1328
```


(4)
Simulated XRD peak list of KZr2P3O12 for CuKα, from a DFT-relaxed cell (GGA-PBE, the Materials Project).

Peak list (10 most intense, 2θ from 10° to 90°, in order of rising 2θ)
d_spacing, 2θ (°), I_rel
6.488, 13.65, 22
4.760, 18.64, 40
4.433, 20.03, 89
3.887, 22.88, 69
3.244, 27.50, 35
2.988, 29.91, 100
2.559, 35.06, 33
1.944, 46.74, 33
1.861, 48.93, 20
1.676, 54.79, 24

Cell and atoms:
```
KZr2P3O12
1.0
4.4331 2.5595 8.0873
-4.4331 2.5595 8.0873
0.0000 -5.1189 8.0873
K Zr P O
2 4 6 24
Direct
0.0000 0.0000 0.0000
0.5000 0.5000 0.5000
0.1495 0.1495 0.1495
0.3505 0.3505 0.3505
0.6495 0.6495 0.6495
0.8505 0.8505 0.8505
0.0370 0.7500 0.4630
0.2500 0.5370 0.9630
0.4630 0.0370 0.7500
0.5370 0.9630 0.2500
0.7500 0.4630 0.0370
0.9630 0.2500 0.5370
0.0113 0.7585 0.6329
0.0704 0.9220 0.2950
0.0780 0.7050 0.9296
0.1329 0.2585 0.5113
0.2050 0.5780 0.4296
0.2415 0.3671 0.9887
0.2585 0.5113 0.1329
0.2950 0.0704 0.9220
0.3671 0.9887 0.2415
0.4220 0.5704 0.7950
0.4296 0.2050 0.5780
0.4887 0.8671 0.7415
0.5113 0.1329 0.2585
0.5704 0.7950 0.4220
0.5780 0.4296 0.2050
0.6329 0.0113 0.7585
0.7050 0.9296 0.0780
0.7415 0.4887 0.8671
0.7585 0.6329 0.0113
0.7950 0.4220 0.5704
0.8671 0.7415 0.4887
0.9220 0.2950 0.0704
0.9296 0.0780 0.7050
0.9887 0.2415 0.3671
```


(5)
Simulated XRD peak list of Rb2Pt3S4 for CuKα, from a DFT-relaxed cell (GGA-PBE, the Materials Project).

Peak list (10 most intense, 2θ from 10° to 90°, in order of rising 2θ)
d_spacing, 2θ (°), I_rel
6.663, 13.29, 100
4.245, 20.93, 16
3.481, 25.59, 31
2.801, 31.95, 39
2.754, 32.52, 19
2.595, 34.56, 24
2.582, 34.74, 35
2.545, 35.27, 17
2.144, 42.15, 20
1.740, 52.59, 23

Cell and atoms:
```
Rb2Pt3S4
1.0
6.3966 0.0000 0.0000
-3.0867 5.6026 0.0000
-1.6550 -2.8013 6.6628
Rb Pt S
2 3 4
Direct
0.0000 0.0000 0.0000
0.3038 0.3007 0.5986
0.1495 0.6464 0.3050
0.6373 0.1403 0.2960
0.6376 0.6379 0.2920
0.3692 0.7075 0.0742
0.5978 0.9295 0.5212
0.6985 0.3563 0.0779
0.9182 0.5803 0.5125
```


(6)
Simulated XRD peak list of MgGeAs2 for CuKα, from a DFT-relaxed cell (GGA-PBE, the Materials Project).

Peak list (10 most intense, 2θ from 10° to 90°, in order of rising 2θ)
d_spacing, 2θ (°), I_rel
5.315, 16.68, 18
3.402, 26.20, 100
2.129, 42.46, 25
2.061, 43.92, 46
1.805, 50.58, 30
1.724, 53.12, 14
1.505, 61.61, 8
1.340, 70.26, 11
1.216, 78.72, 14
1.178, 81.76, 7

Cell and atoms:
```
MgGeAs2
1.0
6.0210 0.0000 0.0000
0.0000 6.0210 0.0000
0.0000 0.0000 11.3135
Mg Ge As
4 4 8
Direct
0.0000 0.0000 0.0000
0.0000 0.5000 0.2500
0.5000 0.0000 0.7500
0.5000 0.5000 0.5000
0.0000 0.0000 0.5000
0.0000 0.5000 0.7500
0.5000 0.0000 0.2500
0.5000 0.5000 0.0000
0.2266 0.7500 0.6250
0.2500 0.2266 0.3750
0.2500 0.2734 0.8750
0.2734 0.7500 0.1250
0.7266 0.2500 0.1250
0.7500 0.7266 0.8750
0.7500 0.7734 0.3750
0.7734 0.2500 0.6250
```


(7)
Simulated XRD peak list of HoIn2Ni9 for CuKα, from a DFT-relaxed cell (GGA-PBE, the Materials Project).

Peak list (10 most intense, 2θ from 10° to 90°, in order of rising 2θ)
d_spacing, 2θ (°), I_rel
2.606, 34.41, 26
2.491, 36.05, 23
2.403, 37.43, 17
2.291, 39.33, 100
2.076, 43.61, 28
2.064, 43.86, 35
2.013, 45.04, 64
1.999, 45.37, 28
1.844, 49.43, 21
1.365, 68.80, 17

Cell and atoms:
```
HoIn2Ni9
1.0
8.2411 0.0000 0.0000
0.0000 8.2411 0.0000
0.0000 0.0000 4.8052
Ho In Ni
2 4 18
Direct
0.0000 0.0000 0.0000
0.5000 0.5000 0.0000
0.1244 0.3756 0.0000
0.3756 0.8756 0.0000
0.6244 0.1244 0.0000
0.8756 0.6244 0.0000
0.0000 0.5000 0.5000
0.0633 0.2060 0.5000
0.1763 0.6763 0.2479
0.1763 0.6763 0.7521
0.2060 0.9367 0.5000
0.2940 0.4367 0.5000
0.3237 0.1763 0.2479
0.3237 0.1763 0.7521
0.4367 0.7060 0.5000
0.5000 0.0000 0.5000
0.5633 0.2940 0.5000
0.6763 0.8237 0.2479
0.6763 0.8237 0.7521
0.7060 0.5633 0.5000
0.7940 0.0633 0.5000
0.8237 0.3237 0.2479
0.8237 0.3237 0.7521
0.9367 0.7940 0.5000
```


(8)
Simulated XRD peak list of Ti2P2O9 for CuKα, from a DFT-relaxed cell (GGA-PBE, the Materials Project).

Peak list (10 most intense, 2θ from 10° to 90°, in order of rising 2θ)
d_spacing, 2θ (°), I_rel
7.022, 12.61, 86
5.227, 16.96, 78
4.927, 18.00, 31
4.649, 19.09, 92
4.030, 22.06, 85
3.770, 23.60, 100
3.204, 27.85, 26
3.170, 28.15, 27
3.003, 29.75, 38
2.876, 31.10, 59

Cell and atoms:
```
Ti2P2O9
1.0
14.0445 0.0000 0.0000
0.0000 6.3403 0.0000
0.0000 0.0000 7.8276
Ti P O
8 8 36
Direct
0.0000 0.0000 0.0000
0.0000 0.5000 0.0000
0.1265 0.2500 0.3539
0.3735 0.7500 0.8539
0.5000 0.0000 0.5000
0.5000 0.5000 0.5000
0.6265 0.2500 0.1461
0.8735 0.7500 0.6461
0.0608 0.7500 0.3539
0.1904 0.7500 0.8923
0.3096 0.2500 0.3923
0.4392 0.2500 0.8539
0.5608 0.7500 0.1461
0.6904 0.7500 0.6077
0.8096 0.2500 0.1077
0.9392 0.2500 0.6461
0.0161 0.7500 0.1656
0.0192 0.2500 0.5155
0.0476 0.2500 0.1342
0.1223 0.5530 0.3616
0.1223 0.9470 0.3616
0.1250 0.5531 0.9101
0.1250 0.9469 0.9101
0.2289 0.2500 0.5281
0.2502 0.2500 0.2257
0.2498 0.7500 0.7257
0.2711 0.7500 0.0281
0.3750 0.0531 0.4101
0.3750 0.4469 0.4101
0.3777 0.0530 0.8616
0.3777 0.4470 0.8616
0.4524 0.7500 0.6342
0.4808 0.7500 0.0155
0.4839 0.2500 0.6656
0.5161 0.7500 0.3344
0.5192 0.2500 0.9845
0.5476 0.2500 0.3658
0.6223 0.5530 0.1384
0.6223 0.9470 0.1384
0.6250 0.5531 0.5899
0.6250 0.9469 0.5899
0.7289 0.2500 0.9719
0.7502 0.2500 0.2743
0.7498 0.7500 0.7743
0.7711 0.7500 0.4719
0.8750 0.0531 0.0899
0.8750 0.4469 0.0899
0.8777 0.0530 0.6384
0.8777 0.4470 0.6384
0.9524 0.7500 0.8658
0.9808 0.7500 0.4845
0.9839 0.2500 0.8344
```


(9)
Simulated XRD peak list of Fe7C3 for CuKα, from a DFT-relaxed cell (GGA-PBE, the Materials Project).

Peak list (10 most intense, 2θ from 10° to 90°, in order of rising 2θ)
d_spacing, 2θ (°), I_rel
2.242, 40.22, 74
2.232, 40.41, 36
2.218, 40.68, 37
2.110, 42.87, 100
2.010, 45.12, 82
2.001, 45.32, 69
1.996, 45.44, 88
1.927, 47.17, 33
1.796, 50.83, 42
1.198, 80.14, 33

Cell and atoms:
```
Fe7C3
1.0
4.5173 0.0000 0.0000
0.0000 6.8571 0.0000
0.0000 0.0000 11.7621
Fe C
28 12
Direct
0.0580 0.0637 0.1910
0.0580 0.4363 0.1910
0.0770 0.2500 0.3721
0.1978 0.7500 0.3006
0.2246 0.7500 0.0877
0.2476 0.5663 0.4838
0.2476 0.9337 0.4838
0.2524 0.0663 0.9838
0.2524 0.4337 0.9838
0.2754 0.2500 0.5877
0.3022 0.2500 0.8006
0.4230 0.7500 0.8721
0.4420 0.5637 0.6910
0.4420 0.9363 0.6910
0.5580 0.0637 0.3090
0.5580 0.4363 0.3090
0.5770 0.2500 0.1279
0.6978 0.7500 0.1994
0.7246 0.7500 0.4123
0.7476 0.5663 0.0162
0.7476 0.9337 0.0162
0.7524 0.0663 0.5162
0.7524 0.4337 0.5162
0.7754 0.2500 0.9123
0.8022 0.2500 0.6994
0.9230 0.7500 0.6279
0.9420 0.5637 0.8090
0.9420 0.9363 0.8090
0.0326 0.7500 0.9387
0.0436 0.0261 0.6479
0.0436 0.4739 0.6479
0.4564 0.5261 0.1479
0.4564 0.9739 0.1479
0.4674 0.2500 0.4387
0.5326 0.7500 0.5613
0.5436 0.0261 0.8521
0.5436 0.4739 0.8521
0.9564 0.5261 0.3521
0.9564 0.9739 0.3521
0.9674 0.2500 0.0613
```